Computed X-ray diffraction stick pattern of Na4Ni7P6O24 for Cu Kα, 1.54184 Å, from a PBE+U-relaxed structure.
Neutral-atom scattering factors, no anomalous dispersion.

Crystal structure
```
41
Lattice="5.358 -7.062 0.000 5.358 7.062 0.000 -1.655 0.000 6.279" Properties=species:S:1:pos:R:3 pbc="T T T"
Na 0.000 0.000 0.000
Na 1.841 1.757 5.899
Na 1.841 -1.757 5.899
Na 5.435 0.000 5.918
Ni 5.921 4.329 1.859
Ni 3.791 1.777 2.995
Ni 3.791 -1.777 2.995
Ni 7.029 2.646 4.146
Ni 5.921 -4.329 1.859
Ni 9.152 0.000 3.006
Ni 7.029 -2.646 4.146
P 3.254 4.401 1.244
P 4.324 4.349 4.779
P 1.690 0.000 3.227
P 5.862 0.000 2.741
P 3.254 -4.401 1.244
P 4.324 -4.349 4.779
O 3.397 5.548 4.335
O 4.225 5.561 1.687
O 0.339 0.000 3.922
O 1.928 1.268 2.331
O 4.170 3.111 1.426
O 3.374 3.097 4.585
O 4.780 4.670 6.205
O 5.592 4.139 3.904
O 1.928 -1.268 2.331
O 2.863 0.000 4.278
O 4.635 0.000 1.767
O 5.638 1.246 3.682
O 7.361 2.869 2.135
O 6.531 2.383 6.087
O 4.170 -3.111 1.426
O 3.374 -3.097 4.585
O 5.638 -1.246 3.682
O 7.219 0.000 2.063
O 3.397 -5.548 4.335
O 4.225 -5.561 1.687
O 5.592 -4.139 3.904
O 6.531 -2.383 6.087
O 4.780 -4.670 6.205
O 7.361 -2.869 2.135
```

Most intense lines, 5 to 70 degrees two-theta, most intense first:
d (Å), I_rel
6.279, 100.0
2.785, 73.1
2.671, 65.9
2.869, 37.0
7.062, 29.2
3.728, 25.2
2.725, 24.0
1.672, 21.4
1.403, 21.1
2.644, 20.6